# 1
Starting from a cell relaxed with GGA-PBE, the powder diffractogram of Tb2Dy2Zn was simulated for Cu Kα (weighted mean of Kα1 and Kα2).
No peak broadening, texture or thermal motion is included.

Crystal structure
```
Tb2Dy2Zn
1.0
-2.479 2.479 12.173
2.479 -2.479 12.173
2.479 2.479 -12.173
Tb Dy Zn
4 4 2
direct
0.056 0.306 0.750 Tb
0.306 0.056 0.250 Tb
0.694 0.944 0.750 Tb
0.944 0.694 0.250 Tb
0.200 0.450 0.750 Dy
0.450 0.200 0.250 Dy
0.550 0.800 0.750 Dy
0.800 0.550 0.250 Dy
0.375 0.625 0.750 Zn
0.625 0.375 0.250 Zn
```

Principal peaks in the range 15 to 90 degrees two-theta, most intense first:
| 2θ/deg | Rel. int. |
| --- | --- |
| 33.8 | 100.0 |
| 36.2 | 50.3 |
| 26.5 | 47.7 |
| 63.6 | 32.0 |
| 47.3 | 23.2 |
| 29.3 | 21.3 |


# 2
Starting from a cell relaxed with GGA-PBE, the powder diffractogram of Tb4Dy9Zn11 was simulated for Cu Kα (weighted mean of Kα1 and Kα2).
No peak broadening, texture or thermal motion is included.

Crystal structure
```
Tb4Dy9Zn11
1.0
7.676 -10.591 0.000
7.676 10.591 0.000
0.000 0.000 3.457
Tb Dy Zn
4 9 11
direct
0.081 0.255 0.000 Tb
0.255 0.081 0.000 Tb
0.745 0.919 0.000 Tb
0.919 0.745 0.000 Tb
0.000 0.000 0.000 Dy
0.122 0.648 0.000 Dy
0.295 0.478 0.000 Dy
0.352 0.878 0.000 Dy
0.478 0.295 0.000 Dy
0.522 0.705 0.000 Dy
0.648 0.122 0.000 Dy
0.705 0.522 0.000 Dy
0.878 0.352 0.000 Dy
0.084 0.448 0.500 Zn
0.131 0.869 0.500 Zn
0.283 0.283 0.500 Zn
0.324 0.676 0.500 Zn
0.448 0.084 0.500 Zn
0.500 0.500 0.500 Zn
0.552 0.916 0.500 Zn
0.676 0.324 0.500 Zn
0.717 0.717 0.500 Zn
0.869 0.131 0.500 Zn
0.916 0.552 0.500 Zn
```

Principal peaks in the range 15 to 90 degrees two-theta, most intense first:
| 2θ/deg | Rel. int. |
| --- | --- |
| 34.5 | 100.0 |
| 36.4 | 86.2 |
| 34.9 | 82.6 |
| 64.8 | 60.9 |
| 36.1 | 42.8 |
| 25.8 | 33.7 |